No. 1
Theoretical PXRD pattern of TlCd3S4 for Cu Kα (weighted mean of Kα1 and Kα2), from DFT lattice parameters and positions (GGA-PBE).
Peak positions follow from Bragg's law for the DFT cell and can differ from measured ones.

Crystal structure
```
TlCd3S4
1.0
2.1259 1.2274 14.1654
-2.1259 1.2274 14.1654
0.0000 -2.4548 14.1654
Tl Cd S
1 3 4
Direct
0.0000 0.0000 0.0000 Tl
0.2476 0.2476 0.2476 Cd
0.5012 0.5012 0.5012 Cd
0.7550 0.7550 0.7550 Cd
0.1870 0.1870 0.1870 S
0.4407 0.4407 0.4407 S
0.6944 0.6944 0.6944 S
0.9337 0.9337 0.9337 S
```

The 12 most intense peaks (5 to 70 degrees two-theta), by angle:
2θ/deg  d_spacing  I_rel
6.24  14.165  76
25.15  3.541  327
25.60  3.479  1000
29.52  3.026  364
41.94  2.154  351
42.52  2.126  366
49.53  1.840  154
50.04  1.823  294
50.30  1.814  154
52.61  1.740  75
61.26  1.513  110
67.93  1.380  122

No. 2
Theoretical PXRD pattern of VOsPtW for Cu Kα (weighted mean of Kα1 and Kα2), from DFT lattice parameters and positions (GGA-PBE).
Peak positions follow from Bragg's law for the DFT cell and can differ from measured ones.

Crystal structure
```
VOsPtW
1.0
3.8588 0.0000 0.0000
0.0000 3.8602 0.0000
0.0000 0.0000 3.9587
V Os Pt W
1 1 1 1
Direct
0.0000 0.0000 0.0000 V
0.0000 0.5000 0.5000 Os
0.5000 0.5000 0.0000 Pt
0.5000 0.0000 0.5000 W
```

The 12 most intense peaks (5 to 70 degrees two-theta), by angle:
2θ/deg  d_spacing  I_rel
22.46  3.959  46
23.04  3.860  109
32.40  2.763  95
32.82  2.729  36
40.13  2.247  1000
45.84  1.979  171
47.09  1.930  317
51.92  1.761  27
53.06  1.726  25
58.32  1.582  39
67.83  1.382  214
68.80  1.365  103

No. 3
Theoretical PXRD pattern of Ca9H14O2 for Cu Kα (weighted mean of Kα1 and Kα2), from DFT lattice parameters and positions (GGA-PBE).
Peak positions follow from Bragg's law for the DFT cell and can differ from measured ones.

Crystal structure
```
Ca9H14O2
1.0
6.7263 0.0000 0.0000
-3.3632 5.8252 0.0000
0.0000 0.0000 9.4312
Ca H O
9 14 2
Direct
0.0000 0.0000 0.0000 Ca
0.0438 0.3473 0.3381 Ca
0.3035 0.9562 0.3381 Ca
0.3333 0.6667 0.0263 Ca
0.3473 0.3035 0.6619 Ca
0.6527 0.6965 0.3381 Ca
0.6667 0.3333 0.9737 Ca
0.6965 0.0438 0.6619 Ca
0.9562 0.6527 0.6619 Ca
0.0000 0.0000 0.2544 H
0.0000 0.0000 0.7456 H
0.0401 0.6864 0.9087 H
0.0548 0.3711 0.5883 H
0.3136 0.3536 0.9087 H
0.3163 0.9452 0.5883 H
0.3536 0.0401 0.0913 H
0.3711 0.3163 0.4117 H
0.6289 0.6837 0.5883 H
0.6464 0.9599 0.9087 H
0.6837 0.0548 0.4117 H
0.6864 0.6464 0.0913 H
0.9452 0.6289 0.4117 H
0.9599 0.3136 0.0913 H
0.3333 0.6667 0.2566 O
0.6667 0.3333 0.7434 O
```

The 12 most intense peaks (5 to 70 degrees two-theta), by angle:
2θ/deg  d_spacing  I_rel
17.90  4.956  233
28.17  3.168  1000
28.39  3.144  345
32.71  2.738  477
36.25  2.478  58
46.78  1.942  244
47.07  1.931  255
55.51  1.655  99
55.63  1.652  206
55.89  1.645  105
58.26  1.584  100
68.54  1.369  56

No. 4
Theoretical PXRD pattern of Ba2Ca3Tl2Cu4O12 for Cu Kα (weighted mean of Kα1 and Kα2), from DFT lattice parameters and positions (GGA-PBE).
Peak positions follow from Bragg's law for the DFT cell and can differ from measured ones.

Crystal structure
```
Ba2Ca3Tl2Cu4O12
1.0
3.9080 0.0000 0.0000
0.0146 4.0109 0.0000
1.7879 0.3302 22.6342
Ba Ca Tl Cu O
2 3 2 4 12
Direct
0.0000 0.0000 0.0000 Ba
0.1624 0.1238 0.6274 Ba
0.5409 0.1411 0.4472 Ca
0.5972 0.1559 0.3065 Ca
0.9371 0.9865 0.1550 Ca
0.5544 0.5258 0.8816 Tl
0.6060 0.2919 0.7556 Tl
0.0762 0.6493 0.3762 Cu
0.0929 0.8046 0.7869 Cu
0.4602 0.4936 0.0880 Cu
0.7081 0.6303 0.5501 Cu
0.0594 0.9158 0.8661 O
0.0692 0.1489 0.3827 O
0.1269 0.6345 0.7101 O
0.1386 0.1973 0.2438 O
0.2061 0.6314 0.5458 O
0.2702 0.6397 0.4795 O
0.3694 0.9204 0.2248 O
0.4600 0.9940 0.0895 O
0.5108 0.5023 0.9774 O
0.5838 0.6539 0.3644 O
0.6931 0.1303 0.5524 O
0.9542 0.4905 0.0997 O
```

The 12 most intense peaks (5 to 70 degrees two-theta), by angle:
2θ/deg  d_spacing  I_rel
23.62  3.766  857
25.30  3.520  361
31.45  2.844  819
31.66  2.826  1000
31.98  2.799  840
32.11  2.788  926
32.34  2.768  924
32.50  2.755  359
33.44  2.680  525
34.63  2.590  357
35.70  2.515  367
46.65  1.947  503

No. 5
Theoretical PXRD pattern of Nd2DyCd3 for Cu Kα (weighted mean of Kα1 and Kα2), from DFT lattice parameters and positions (GGA-PBE).
Peak positions follow from Bragg's law for the DFT cell and can differ from measured ones.

Crystal structure
```
Nd2DyCd3
1.0
3.8053 0.0000 0.0000
0.0000 3.8053 0.0000
0.0000 0.0000 11.5508
Nd Dy Cd
2 1 3
Direct
0.0000 0.0000 0.1708 Nd
0.0000 0.0000 0.8292 Nd
0.0000 0.0000 0.5000 Dy
0.5000 0.5000 0.0000 Cd
0.5000 0.5000 0.3447 Cd
0.5000 0.5000 0.6553 Cd
```

The 12 most intense peaks (5 to 70 degrees two-theta), by angle:
2θ/deg  d_spacing  I_rel
7.65  11.551  14
23.10  3.850  11
23.38  3.805  20
33.10  2.706  1000
33.30  2.691  500
40.92  2.206  11
47.21  1.925  87
47.81  1.903  179
59.00  1.566  177
59.38  1.557  364
69.46  1.353  108
69.92  1.345  56

No. 6
Theoretical PXRD pattern of Tb2Pm2S5 for Cu Kα (weighted mean of Kα1 and Kα2), from DFT lattice parameters and positions (GGA-PBE).
Peak positions follow from Bragg's law for the DFT cell and can differ from measured ones.

Crystal structure
```
Tb2Pm2S5
1.0
-8.5375 3.6420 3.7035
8.5375 -3.6420 3.7035
8.5375 3.6420 -3.7035
Tb Pm S
4 4 10
Direct
0.0000 0.0000 0.0000 Tb
0.0000 0.5000 0.5000 Tb
0.8387 0.6227 0.7160 Tb
0.9067 0.1227 0.2840 Tb
0.4260 0.5413 0.0961 Pm
0.4260 0.8299 0.3847 Pm
0.4452 0.0413 0.6153 Pm
0.4452 0.3299 0.9039 Pm
0.2286 0.7269 0.7913 S
0.2286 0.9373 0.0017 S
0.3809 0.2687 0.6122 S
0.5239 0.2909 0.3539 S
0.5239 0.6700 0.7330 S
0.6565 0.7687 0.3878 S
0.9356 0.2269 0.9983 S
0.9356 0.4373 0.2087 S
0.9369 0.1700 0.6461 S
0.9369 0.7909 0.2670 S
```

The 12 most intense peaks (5 to 70 degrees two-theta), by angle:
2θ/deg  d_spacing  I_rel
20.01  4.437  120
24.03  3.703  273
24.44  3.642  324
27.04  3.298  1000
34.54  2.597  313
35.99  2.496  147
36.16  2.484  134
39.97  2.256  218
44.16  2.051  170
44.65  2.030  351
49.50  1.841  95
50.49  1.808  135

No. 7
Theoretical PXRD pattern of MgAu2F8 for Cu Kα (weighted mean of Kα1 and Kα2), from DFT lattice parameters and positions (GGA-PBE).
Peak positions follow from Bragg's law for the DFT cell and can differ from measured ones.

Crystal structure
```
MgAu2F8
1.0
5.6029 0.0000 0.0000
0.0000 5.7438 0.0000
-3.6786 0.0000 10.4442
Mg Au F
2 4 16
Direct
0.0000 0.0000 0.0000 Mg
0.0000 0.5000 0.5000 Mg
0.3687 0.2280 0.3261 Au
0.3687 0.2720 0.8261 Au
0.6313 0.7280 0.1739 Au
0.6313 0.7720 0.6739 Au
0.0717 0.1342 0.1795 F
0.0717 0.3658 0.6795 F
0.1604 0.2279 0.4412 F
0.1604 0.2721 0.9412 F
0.3274 0.6819 0.5302 F
0.3274 0.8181 0.0302 F
0.4281 0.7239 0.2856 F
0.4281 0.7761 0.7856 F
0.5719 0.2239 0.2144 F
0.5719 0.2761 0.7144 F
0.6726 0.1819 0.9698 F
0.6726 0.3181 0.4698 F
0.8396 0.7279 0.0588 F
0.8396 0.7721 0.5588 F
0.9283 0.6342 0.3205 F
0.9283 0.8658 0.8205 F
```

The 12 most intense peaks (5 to 70 degrees two-theta), by angle:
2θ/deg  d_spacing  I_rel
16.78  5.285  494
16.98  5.222  321
22.87  3.889  699
23.02  3.864  871
24.98  3.564  1000
27.72  3.218  503
31.14  2.872  436
32.83  2.728  199
35.58  2.523  267
39.66  2.273  218
42.17  2.143  288
46.38  1.958  204